Diffraction record for Sr3LaMn4O12. The PXRD pattern is calculated, not measured: it uses the PBE+U geometry in Alexandria and Cu Kα X-rays.
Kinematic intensities with the Lorentz-polarization factor, no thermal factor.

Top 8 peaks for 2θ = 10–90°, by angle:
| d (Å) | 2theta | I (rel.) | (hkl) |
| --- | --- | --- | --- |
| 2.766 | 32.37 | 100 | 1 1 2 |
| 2.730 | 32.80 | 52 | 2 0 0 |
| 2.249 | 40.10 | 23 | 2 0 2 |
| 1.982 | 45.78 | 20 | 0 0 4 |
| 1.931 | 47.07 | 34 | 2 2 0 |
| 1.604 | 57.45 | 21 | 2 0 -4 |
| 1.584 | 58.26 | 20 | 1 3 -2 |
| 1.383 | 67.75 | 21 | 2 2 4 |

Atomic structure:
```
Sr3LaMn4O12
1.0
5.4604 0.0000 0.0000
0.0000 5.4611 0.0000
-0.0088 0.0000 7.9286
Sr La Mn O
3 1 4 12
Direct
0.0000 0.9997 0.0000
0.0000 0.0000 0.5000
0.5000 0.4998 0.0000
0.5000 0.4990 0.5000
0.9999 0.4998 0.2483
0.0001 0.4998 0.7517
0.5001 0.9997 0.2483
0.4999 0.9997 0.7517
0.0000 0.4975 0.5000
0.0000 0.5024 0.0000
0.2161 0.2160 0.7481
0.2164 0.7835 0.2545
0.2905 0.2903 0.2569
0.2904 0.7095 0.7407
0.5000 0.0033 0.5000
0.5000 0.9974 0.0000
0.7095 0.2903 0.7431
0.7096 0.7095 0.2593
0.7839 0.2160 0.2519
0.7836 0.7835 0.7455
```